YAgSb2I: theoretical X-ray diffraction stick pattern (Cu Kα), based on a crystal structure in Alexandria, relaxed with PBE.
Kinematic intensities with the Lorentz-polarization factor, no thermal factor.

Peak list (8 most intense, 2θ from 10° to 80°, sorted by position)
two_theta, Rel. int.
15.0, 18
26.2, 90
30.4, 100
43.5, 73
51.5, 27
53.9, 26
69.6, 16
71.7, 21

Crystal structure
```
YAgSb2I
1.0
5.8837 0.0000 0.0000
0.0000 5.8837 0.0000
0.0000 0.0000 5.8997
Y Ag Sb I
1 1 2 1
Direct
0.0000 0.0000 0.0000
0.5000 0.5000 0.5000
0.0000 0.5000 0.0000
0.5000 0.0000 0.0000
0.0000 0.0000 0.5000
```